For Tm6Al7Cu16, a structure optimized by DFT (GGA-PBE) gives the simulated powder XRD pattern in this record (a wavelength of 1.5418 Å).

Cell and atoms:
Cell: 8.625 8.625 8.625 Å, 60.00 60.00 60.00°
Positions (direct):
Tm  0.209  0.209  0.791
Tm  0.209  0.791  0.209
Tm  0.209  0.791  0.791
Tm  0.791  0.209  0.209
Tm  0.791  0.209  0.791
Tm  0.791  0.791  0.209
Al  0.000  0.000  0.500
Al  0.000  0.500  0.000
Al  0.000  0.500  0.500
Al  0.500  0.000  0.000
Al  0.500  0.000  0.500
Al  0.500  0.500  0.000
Al  0.500  0.500  0.500
Cu  0.138  0.621  0.621
Cu  0.173  0.173  0.173
Cu  0.173  0.173  0.482
Cu  0.173  0.482  0.173
Cu  0.379  0.379  0.379
Cu  0.379  0.379  0.862
Cu  0.379  0.862  0.379
Cu  0.482  0.173  0.173
Cu  0.518  0.827  0.827
Cu  0.621  0.138  0.621
Cu  0.621  0.621  0.138
Cu  0.621  0.621  0.621
Cu  0.827  0.518  0.827
Cu  0.827  0.827  0.518
Cu  0.827  0.827  0.827
Cu  0.862  0.379  0.379

Most intense lines, 10° ≤ 2θ ≤ 90°, in order of rising 2θ:
2θ/deg	d_spacing	Rel. int.
25.29	3.521	58
31.98	2.798	17
36.07	2.490	29
38.34	2.347	100
41.90	2.156	83
44.57	2.033	19
62.31	1.490	16
64.86	1.438	23
77.93	1.226	17
81.65	1.179	20